Entry 1:
# Tm2Te5O13
Calculated X-ray powder pattern, Cu Kα (λ = 1.5418 Å). Input: a cell relaxed with PBE.
Lines closer than 0.1° are merged.

Top 10 peaks for 2θ = 10–80°, by intensity:
2θ 27.66, I = 100
2θ 27.23, I = 90
2θ 27.05, I = 85
2θ 27.82, I = 82
2θ 30.83, I = 58
2θ 32.05, I = 47
2θ 32.46, I = 42
2θ 54.87, I = 32
2θ 45.84, I = 24
2θ 45.15, I = 23

Atomic structure:
```
Tm2Te5O13
1.0
6.951 0.000 0.000
2.300 8.427 0.000
0.538 0.046 10.682
Tm Te O
4 10 26
Cartesian
7.632 2.035 2.563
2.157 6.439 8.119
5.788 8.220 8.762
4.002 0.254 1.920
2.877 7.181 1.148
2.136 2.584 6.843
4.214 7.559 5.202
3.406 3.214 10.426
4.139 3.408 3.212
5.650 5.066 7.470
6.383 5.260 0.256
5.576 0.915 5.480
7.653 5.890 3.839
6.912 1.293 9.534
2.556 7.192 6.062
1.148 2.695 0.435
2.023 4.395 7.363
2.376 6.463 2.968
3.648 8.390 9.563
4.028 8.427 2.003
2.879 2.001 3.042
4.350 6.160 8.302
3.282 2.043 8.264
2.721 0.132 6.611
3.607 4.092 1.319
5.089 5.861 5.543
3.643 1.427 0.008
6.147 7.047 10.674
4.700 2.613 5.139
6.182 4.382 9.363
7.068 8.342 4.071
6.507 6.430 2.418
5.440 2.314 2.380
6.910 6.472 7.640
5.762 0.047 8.679
6.141 0.084 1.118
7.413 2.011 7.714
7.767 4.079 3.319
8.641 5.779 10.247
7.233 1.282 4.620
```

Entry 2:
# K3H3Pd
Calculated X-ray powder pattern, Cu Kα (λ = 1.5418 Å). Input: a cell relaxed with PBE.
Lines closer than 0.1° are merged.

Top 10 peaks for 2θ = 10–80°, by intensity:
2θ 28.85, I = 100
2θ 32.84, I = 36
2θ 16.25, I = 25
2θ 23.67, I = 22
2θ 56.20, I = 19
2θ 40.88, I = 17
2θ 48.44, I = 14
2θ 34.59, I = 13
2θ 17.10, I = 13
2θ 47.12, I = 11

Atomic structure:
```
K3H3Pd
1.0
10.909 0.000 0.000
0.000 10.909 0.000
0.000 0.000 10.373
K H Pd
24 24 8
Cartesian
0.038 2.737 2.155
0.038 2.737 8.217
2.189 2.189 5.186
2.245 8.664 5.186
2.718 5.493 3.031
2.718 5.493 7.341
2.737 0.038 2.155
2.737 0.038 8.217
3.210 3.210 0.000
3.266 7.643 0.000
5.416 8.192 3.031
5.416 8.192 7.341
5.493 2.718 3.031
5.493 2.718 7.341
7.643 3.266 0.000
7.700 7.700 0.000
8.172 10.871 2.155
8.172 10.871 8.217
8.192 5.416 3.031
8.192 5.416 7.341
8.664 2.245 5.186
8.721 8.721 5.186
10.871 8.172 2.155
10.871 8.172 8.217
0.000 0.000 3.496
0.000 0.000 6.876
0.005 3.778 5.186
10.904 7.132 5.186
1.192 1.192 0.000
1.677 5.460 0.000
2.688 8.221 2.533
2.688 8.221 7.839
2.766 2.766 2.653
2.766 2.766 7.720
3.778 0.005 5.186
4.262 6.647 5.186
5.460 1.677 0.000
5.455 5.455 1.690
5.455 5.455 8.682
5.450 9.232 0.000
6.647 4.262 5.186
7.132 10.904 5.186
8.143 8.143 2.653
8.143 8.143 7.720
8.221 2.688 2.533
8.221 2.688 7.839
9.232 5.450 0.000
9.717 9.717 0.000
0.000 0.000 0.000
0.000 0.000 5.186
0.000 5.455 0.000
0.000 5.455 5.186
5.455 0.000 0.000
5.455 0.000 5.186
5.455 5.455 0.000
5.455 5.455 5.186
```

Entry 3:
# Y2AgIr
Calculated X-ray powder pattern, Cu Kα (λ = 1.5418 Å). Input: a cell relaxed with PBE.
Lines closer than 0.1° are merged.

Top 10 peaks for 2θ = 10–80°, by intensity:
2θ 35.97, I = 100
2θ 64.66, I = 35
2θ 51.78, I = 17
2θ 76.27, I = 11
2θ 25.22, I = 7
2θ 21.80, I = 6
2θ 42.45, I = 3
2θ 58.44, I = 3
2θ 44.44, I = 2
2θ 56.83, I = 2

Atomic structure:
```
Y2AgIr
1.0
0.000 3.531 3.531
3.531 0.000 3.531
3.531 3.531 0.000
Y Ag Ir
2 1 1
Cartesian
1.765 1.765 1.765
5.296 5.296 5.296
0.000 0.000 0.000
3.531 3.531 3.531
```

Entry 4:
# HoCuSi
Calculated X-ray powder pattern, Cu Kα (λ = 1.5418 Å). Input: a cell relaxed with PBE.
Lines closer than 0.1° are merged.

Top 10 peaks for 2θ = 10–80°, by intensity:
2θ 34.82, I = 100
2θ 43.74, I = 40
2θ 24.84, I = 34
2θ 57.08, I = 24
2θ 74.58, I = 21
2θ 67.90, I = 21
2θ 49.17, I = 9
2θ 55.86, I = 8
2θ 50.95, I = 5
2θ 27.64, I = 5

Atomic structure:
```
HoCuSi
1.0
4.139 0.000 0.000
-2.070 3.585 0.000
0.000 0.000 7.412
Ho Cu Si
2 2 2
Cartesian
0.000 0.000 0.000
0.000 0.000 3.706
0.000 2.390 1.853
2.070 1.195 5.559
0.000 2.390 5.559
2.070 1.195 1.853
```

What did the fourth record say?
# HoCuSi
Calculated X-ray powder pattern, Cu Kα (λ = 1.5418 Å). Input: a cell relaxed with PBE.
Lines closer than 0.1° are merged.

Top 10 peaks for 2θ = 10–80°, by intensity:
2θ 34.82, I = 100
2θ 43.74, I = 40
2θ 24.84, I = 34
2θ 57.08, I = 24
2θ 74.58, I = 21
2θ 67.90, I = 21
2θ 49.17, I = 9
2θ 55.86, I = 8
2θ 50.95, I = 5
2θ 27.64, I = 5

Atomic structure:
```
HoCuSi
1.0
4.139 0.000 0.000
-2.070 3.585 0.000
0.000 0.000 7.412
Ho Cu Si
2 2 2
Cartesian
0.000 0.000 0.000
0.000 0.000 3.706
0.000 2.390 1.853
2.070 1.195 5.559
0.000 2.390 5.559
2.070 1.195 1.853
```